Record 1
The following is a calculated XRD peak list of KWO3. It was derived from a GGA+U-relaxed structure, using copper Kα.
Intensities are scaled so that the largest is 100.

Crystal structure
Cell: 10.694 10.694 10.694 Å, 90.00 90.00 90.00°
Space group Fd-3m (No. 227, origin choice 2)
One atom of each set of equivalent atoms:
K 0.000 0.000 0.000
W 0.000 0.000 0.500
O 0.063 0.375 0.875

Peak list (8 most intense, 5° ≤ 2θ ≤ 70°, in order of rising 2θ)
two_theta, d/Å, I (rel.)
14.35, 6.174, 74
27.67, 3.224, 35
28.92, 3.087, 100
33.52, 2.673, 36
48.13, 1.890, 41
50.49, 1.808, 15
57.13, 1.612, 43
59.93, 1.544, 12

---

Record 2
The following is a calculated XRD peak list of KYbW2O8. It was derived from a GGA+U-relaxed structure, using copper Kα.
Intensities are scaled so that the largest is 100.

Crystal structure
Cell: 11.205 10.746 7.462 Å, 90.00 130.91 90.00°
Space group C2/c (No. 15)
One atom of each set of equivalent atoms:
K 0.000 0.214 0.250
Yb 0.000 0.224 0.750
W 0.195 0.496 0.702
O 0.009 0.389 0.958
O 0.149 0.108 0.704
O 0.186 0.440 0.438
O 0.193 0.143 0.120

Peak list (8 most intense, 5° ≤ 2θ ≤ 70°, in order of rising 2θ)
two_theta, d/Å, I (rel.)
14.45, 6.128, 36
16.50, 5.373, 25
26.81, 3.326, 100
29.14, 3.064, 100
31.73, 2.820, 32
32.21, 2.779, 26
32.80, 2.730, 24
60.46, 1.531, 29